Starting from a crystal structure in Alexandria, relaxed with PBE, the powder diffraction line list of Ba4Na was simulated for CuKα.

Crystal structure
```
Ba4Na
1.0
0.000 3.206 14.807
3.130 0.000 14.807
3.130 3.206 0.000
Ba Na
4 1
Cartesian
3.130 3.206 2.517 Ba
3.130 3.206 9.027 Ba
3.130 3.206 20.587 Ba
3.130 3.206 27.098 Ba
3.130 3.206 14.807 Na
```

Top 6 peaks for 2θ from 10° to 90°, low angle first:
d/Å, Position (°2θ), I/Imax
4.079, 21.79, 19
3.573, 24.92, 100
3.206, 27.83, 21
3.130, 28.51, 20
1.915, 47.48, 24
1.882, 48.37, 16


Starting from a crystal structure in Alexandria, relaxed with PBE, the powder diffraction line list of Tb2H2I5 was simulated for CuKα.

Crystal structure
```
Tb2H2I5
1.0
0.000 7.013 8.819
3.994 0.000 8.819
3.994 7.013 0.000
Tb H I
2 2 5
Cartesian
3.994 2.991 8.819 Tb
3.994 11.035 8.819 Tb
3.994 7.013 4.067 H
3.994 7.013 13.572 H
0.000 0.000 0.000 I
1.997 3.506 2.201 I
1.997 3.506 6.618 I
5.992 10.519 11.021 I
5.992 10.519 15.437 I
```

Top 6 peaks for 2θ from 10° to 90°, low angle first:
d/Å, Position (°2θ), I/Imax
8.819, 10.03, 72
7.013, 12.62, 100
3.506, 25.40, 31
2.960, 30.19, 53
2.727, 32.84, 41
2.262, 39.85, 37


Starting from a crystal structure in Alexandria, relaxed with PBE, the powder diffraction line list of Ca4SbTe2Br was simulated for CuKα.

Crystal structure
```
Ca4SbTe2Br
1.0
0.000 6.456 4.469
4.469 0.000 4.469
4.469 6.456 0.000
Ca Sb Te Br
4 1 2 1
Cartesian
6.701 6.456 2.245 Ca
4.469 3.062 4.469 Ca
2.237 6.456 2.245 Ca
4.469 9.849 4.469 Ca
4.469 6.456 0.008 Sb
2.235 3.228 2.235 Te
6.704 9.683 6.704 Te
4.469 6.456 4.479 Br
```

Top 6 peaks for 2θ from 10° to 90°, low angle first:
d/Å, Position (°2θ), I/Imax
3.675, 24.22, 59
3.228, 27.64, 52
3.160, 28.24, 100
2.258, 39.92, 76
2.235, 40.36, 37
1.837, 49.62, 40


Starting from a crystal structure in Alexandria, relaxed with PBE, the powder diffraction line list of Pm2Sn3SbRh4 was simulated for CuKα.

Crystal structure
```
Pm2Sn3SbRh4
1.0
4.487 0.000 0.000
0.000 4.487 0.000
0.000 0.000 10.743
Pm Sn Sb Rh
2 3 1 4
Cartesian
0.000 2.244 2.678 Pm
2.244 0.000 8.065 Pm
0.000 2.244 9.342 Sn
2.244 0.000 1.400 Sn
2.244 2.244 5.371 Sn
0.000 0.000 5.371 Sb
0.000 0.000 0.000 Rh
0.000 2.244 6.755 Rh
2.244 0.000 3.988 Rh
2.244 2.244 0.000 Rh
```

Top 6 peaks for 2θ from 10° to 90°, low angle first:
d/Å, Position (°2θ), I/Imax
2.799, 31.98, 61
2.732, 32.78, 100
2.244, 40.19, 69
2.050, 44.18, 27
1.938, 46.88, 27
1.751, 52.26, 31


Starting from a crystal structure in Alexandria, relaxed with PBE, the powder diffraction line list of Na2PuPaO8 was simulated for CuKα.

Crystal structure
```
Na2PuPaO8
1.0
5.092 0.000 0.000
0.000 7.052 0.000
-0.275 0.000 5.107
Na Pu Pa O
2 1 1 8
Cartesian
0.000 1.746 0.000 Na
0.000 5.306 0.000 Na
2.408 0.000 2.553 Pu
2.408 3.526 2.553 Pa
1.072 3.526 1.149 O
1.134 0.000 1.216 O
1.493 1.610 3.430 O
1.493 5.441 3.430 O
3.324 1.610 1.677 O
3.324 5.441 1.677 O
3.683 0.000 3.891 O
3.745 3.526 3.958 O
```

Top 6 peaks for 2θ from 10° to 90°, low angle first:
d/Å, Position (°2θ), I/Imax
5.096, 17.40, 100
3.704, 24.02, 37
3.510, 25.38, 29
2.899, 30.84, 59
2.554, 35.14, 33
1.944, 46.74, 27